HoGe2Rh2: theoretical powder diffractogram (Cu Ka), based on a GGA-PBE-relaxed structure.
No peak broadening, texture or thermal motion is included.

Most intense lines, 10 to 80 degrees two-theta, in order of falling intensity:
- 2.549 Å, I = 100, (1 1 2)
- 2.650 Å, I = 53, (1 0 3)
- 2.071 Å, I = 52, (2 0 0)
- 1.632 Å, I = 24, (2 1 3)
- 1.270 Å, I = 22, (3 1 2)
- 1.851 Å, I = 21, (1 0 5)
- 1.465 Å, I = 17, (2 2 0)
- 1.486 Å, I = 16, (1 1 6)
- 1.380 Å, I = 16, (2 1 5)
- 1.939 Å, I = 12, (1 1 4)

Structural model:
Lattice parameters (Å, degrees): 4.143 4.143 10.343 90.00 90.00 90.00
Positions (direct):
Ho  0.000  0.000  0.000
Ho  0.500  0.500  0.500
Ge  0.000  0.000  0.379
Ge  0.000  0.000  0.621
Ge  0.500  0.500  0.121
Ge  0.500  0.500  0.879
Rh  0.000  0.500  0.250
Rh  0.000  0.500  0.750
Rh  0.500  0.000  0.250
Rh  0.500  0.000  0.750

Ho3Ge13Rh4: theoretical powder diffractogram (Cu Ka), based on a GGA-PBE-relaxed structure.
No peak broadening, texture or thermal motion is included.

Most intense lines, 10 to 80 degrees two-theta, in order of falling intensity:
- 2.508 Å, I = 100, (3 2 0)
- 2.417 Å, I = 41, (3 2 1)
- 2.261 Å, I = 31, (4 0 0)
- 2.610 Å, I = 24, (2 2 2)
- 1.363 Å, I = 22, (6 2 2)
- 1.846 Å, I = 20, (4 2 2)
- 4.044 Å, I = 14, (2 1 0)
- 1.467 Å, I = 14, (5 3 2)
- 1.551 Å, I = 12, (4 3 3)
- 1.242 Å, I = 11, (6 4 1)

Structural model:
Lattice parameters (Å, degrees): 9.042 9.042 9.042 90.00 90.00 90.00
Positions (direct):
Ho  0.000  0.250  0.500
Ho  0.000  0.750  0.500
Ho  0.250  0.500  0.000
Ho  0.500  0.000  0.250
Ho  0.500  0.000  0.750
Ho  0.750  0.500  0.000
Ge  0.000  0.000  0.000
Ge  0.000  0.310  0.148
Ge  0.000  0.310  0.852
Ge  0.000  0.690  0.148
Ge  0.000  0.690  0.852
Ge  0.148  0.000  0.310
Ge  0.148  0.000  0.690
Ge  0.190  0.500  0.352
Ge  0.190  0.500  0.648
Ge  0.310  0.148  0.000
Ge  0.310  0.852  0.000
Ge  0.352  0.190  0.500
Ge  0.352  0.810  0.500
Ge  0.500  0.352  0.190
Ge  0.500  0.352  0.810
Ge  0.500  0.500  0.500
Ge  0.500  0.648  0.190
Ge  0.500  0.648  0.810
Ge  0.648  0.190  0.500
Ge  0.648  0.810  0.500
Ge  0.690  0.148  0.000
Ge  0.690  0.852  0.000
Ge  0.810  0.500  0.352
Ge  0.810  0.500  0.648
Ge  0.852  0.000  0.310
Ge  0.852  0.000  0.690
Rh  0.250  0.250  0.250
Rh  0.250  0.250  0.750
Rh  0.250  0.750  0.250
Rh  0.250  0.750  0.750
Rh  0.750  0.250  0.250
Rh  0.750  0.250  0.750
Rh  0.750  0.750  0.250
Rh  0.750  0.750  0.750

Ho3Ge2Rh2: theoretical powder diffractogram (Cu Ka), based on a GGA-PBE-relaxed structure.
No peak broadening, texture or thermal motion is included.

Most intense lines, 10 to 80 degrees two-theta, in order of falling intensity:
- 2.256 Å, I = 100, (2 1 3)
- 2.368 Å, I = 77, (1 3 0)
- 2.669 Å, I = 63, (1 1 4)
- 2.629 Å, I = 57, (2 1 0)
- 2.592 Å, I = 57, (1 2 3)
- 2.524 Å, I = 50, (0 2 4)
- 2.198 Å, I = 37, (0 0 6)
- 2.926 Å, I = 32, (0 2 3)
- 2.578 Å, I = 25, (2 1 1)
- 1.850 Å, I = 24, (1 4 0)

Structural model:
Lattice parameters (Å, degrees): 5.581 7.843 13.187 90.00 90.00 90.00
Positions (direct):
Ho  0.133  0.248  0.250
Ho  0.133  0.252  0.750
Ho  0.353  0.607  0.101
Ho  0.353  0.607  0.399
Ho  0.353  0.893  0.601
Ho  0.353  0.893  0.899
Ho  0.647  0.107  0.101
Ho  0.647  0.107  0.399
Ho  0.647  0.393  0.601
Ho  0.647  0.393  0.899
Ho  0.867  0.748  0.250
Ho  0.867  0.752  0.750
Ge  0.159  0.250  0.000
Ge  0.159  0.250  0.500
Ge  0.371  0.609  0.750
Ge  0.371  0.891  0.250
Ge  0.629  0.109  0.750
Ge  0.629  0.391  0.250
Ge  0.841  0.750  0.000
Ge  0.841  0.750  0.500
Rh  0.125  0.539  0.594
Rh  0.125  0.539  0.906
Rh  0.125  0.961  0.094
Rh  0.125  0.961  0.406
Rh  0.875  0.039  0.594
Rh  0.875  0.039  0.906
Rh  0.875  0.461  0.094
Rh  0.875  0.461  0.406

Ho4Ge8Rh: theoretical powder diffractogram (Cu Ka), based on a GGA-PBE-relaxed structure.
No peak broadening, texture or thermal motion is included.

Most intense lines, 10 to 80 degrees two-theta, in order of falling intensity:
- 2.547 Å, I = 100, (1 1 3)
- 2.565 Å, I = 22, (0 1 5)
- 2.078 Å, I = 21, (0 2 0)
- 2.002 Å, I = 19, (2 0 0)
- 2.248 Å, I = 17, (1 0 6)
- 1.273 Å, I = 16, (1 3 3)
- 2.717 Å, I = 15, (0 0 6)
- 3.594 Å, I = 14, (1 0 2)
- 1.442 Å, I = 13, (2 2 0)
- 1.237 Å, I = 10, (3 1 3)

Structural model:
Lattice parameters (Å, degrees): 4.004 4.156 16.303 90.00 90.00 90.00
Positions (direct):
Ho  0.000  0.000  0.000
Ho  0.000  0.500  0.490
Ho  0.500  0.000  0.791
Ho  0.500  0.500  0.286
Ge  0.000  0.000  0.337
Ge  0.000  0.000  0.621
Ge  0.000  0.500  0.141
Ge  0.000  0.500  0.855
Ge  0.500  0.000  0.145
Ge  0.500  0.000  0.442
Ge  0.500  0.500  0.620
Ge  0.500  0.500  0.956
Rh  0.000  0.500  0.706

Ho5Ge10Rh4: theoretical powder diffractogram (Cu Ka), based on a GGA-PBE-relaxed structure.
No peak broadening, texture or thermal motion is included.

Most intense lines, 10 to 80 degrees two-theta, in order of falling intensity:
- 2.502 Å, I = 100, (3 3 1)
- 2.149 Å, I = 77, (0 0 2)
- 2.600 Å, I = 73, (4 0 1)
- 2.770 Å, I = 48, (3 2 1)
- 2.550 Å, I = 45, (4 1 1)
- 2.560 Å, I = 34, (5 1 0)
- 2.415 Å, I = 22, (4 2 1)
- 2.039 Å, I = 20, (5 4 0)
- 1.655 Å, I = 19, (7 2 1)
- 1.647 Å, I = 18, (5 1 2)

Structural model:
Lattice parameters (Å, degrees): 13.054 13.054 4.301 90.00 90.00 90.00
Positions (direct):
Ho  0.000  0.000  0.000
Ho  0.113  0.387  0.500
Ho  0.175  0.675  0.500
Ho  0.325  0.175  0.500
Ho  0.387  0.887  0.500
Ho  0.500  0.500  0.000
Ho  0.613  0.113  0.500
Ho  0.675  0.825  0.500
Ho  0.825  0.325  0.500
Ho  0.887  0.613  0.500
Ge  0.003  0.842  0.500
Ge  0.067  0.567  0.000
Ge  0.158  0.003  0.500
Ge  0.162  0.200  0.000
Ge  0.200  0.838  0.000
Ge  0.300  0.338  0.000
Ge  0.338  0.700  0.000
Ge  0.342  0.503  0.500
Ge  0.433  0.067  0.000
Ge  0.497  0.342  0.500
Ge  0.503  0.658  0.500
Ge  0.567  0.933  0.000
Ge  0.658  0.497  0.500
Ge  0.662  0.300  0.000
Ge  0.700  0.662  0.000
Ge  0.800  0.162  0.000
Ge  0.838  0.800  0.000
Ge  0.842  0.997  0.500
Ge  0.933  0.433  0.000
Ge  0.997  0.158  0.500
Rh  0.021  0.754  0.000
Rh  0.246  0.021  0.000
Rh  0.254  0.521  0.000
Rh  0.479  0.254  0.000
Rh  0.521  0.746  0.000
Rh  0.746  0.479  0.000
Rh  0.754  0.979  0.000
Rh  0.979  0.246  0.000

HoGeRu: theoretical powder diffractogram (Cu Ka), based on a GGA-PBE-relaxed structure.
No peak broadening, texture or thermal motion is included.

Most intense lines, 10 to 80 degrees two-theta, in order of falling intensity:
- 2.570 Å, I = 100, (2 1 1)
- 2.603 Å, I = 73, (1 1 2)
- 2.208 Å, I = 45, (0 2 0)
- 2.120 Å, I = 39, (0 1 3)
- 2.228 Å, I = 30, (3 0 1)
- 2.523 Å, I = 29, (2 0 2)
- 1.363 Å, I = 26, (3 1 4)
- 2.286 Å, I = 21, (1 0 3)
- 1.568 Å, I = 20, (3 2 1)
- 1.661 Å, I = 17, (2 2 2)

Structural model:
Lattice parameters (Å, degrees): 7.024 4.415 7.252 90.00 90.00 90.00
Positions (direct):
Ho  0.013  0.250  0.192
Ho  0.487  0.750  0.692
Ho  0.513  0.250  0.308
Ho  0.987  0.750  0.808
Ge  0.204  0.250  0.607
Ge  0.296  0.750  0.107
Ge  0.704  0.250  0.893
Ge  0.796  0.750  0.393
Ru  0.155  0.750  0.437
Ru  0.345  0.250  0.937
Ru  0.655  0.750  0.063
Ru  0.845  0.250  0.563

Ho12Ge5S28: theoretical powder diffractogram (Cu Ka), based on a GGA-PBE-relaxed structure.
No peak broadening, texture or thermal motion is included.

Most intense lines, 10 to 80 degrees two-theta, in order of falling intensity:
- 3.420 Å, I = 100, (2 -1 1)
- 2.453 Å, I = 35, (-4 2 2)
- 4.248 Å, I = 31, (2 -2 0)
- 2.356 Å, I = 29, (3 1 -4)
- 2.181 Å, I = 29, (4 0 -2)
- 2.384 Å, I = 20, (0 4 0)
- 3.737 Å, I = 19, (1 -1 2)
- 3.211 Å, I = 19, (1 -3 2)
- 2.882 Å, I = 19, (0 2 2)
- 4.769 Å, I = 18, (1 0 1)

Structural model:
Lattice parameters (Å, degrees): 9.819 11.368 11.379 96.55 115.55 115.57
Positions (direct):
Ho  0.000  0.000  0.000
Ho  0.006  0.660  0.884
Ho  0.049  0.465  0.570
Ho  0.284  0.428  0.068
Ho  0.330  0.232  0.765
Ho  0.339  0.896  0.647
Ho  0.478  0.126  0.368
Ho  0.500  0.512  0.525
Ho  0.518  0.952  0.050
Ho  0.816  0.943  0.601
Ho  0.827  0.376  0.121
Ho  0.845  0.764  0.273
Ge  0.082  0.195  0.405
Ge  0.333  0.774  0.322
Ge  0.583  0.696  0.907
Ge  0.645  0.426  0.303
Ge  0.826  0.278  0.818
S  0.000  0.203  0.560
S  0.060  0.938  0.553
S  0.062  0.440  0.820
S  0.103  0.144  0.853
S  0.132  0.397  0.370
S  0.139  0.585  0.129
S  0.207  0.726  0.766
S  0.217  0.893  0.367
S  0.248  0.929  0.072
S  0.329  0.267  0.232
S  0.357  0.234  0.528
S  0.392  0.497  0.723
S  0.443  0.740  0.523
S  0.497  0.109  0.890
S  0.503  0.702  0.064
S  0.566  0.434  0.066
S  0.581  0.928  0.332
S  0.592  0.611  0.342
S  0.633  0.894  0.869
S  0.639  0.085  0.629
S  0.698  0.232  0.266
S  0.718  0.407  0.853
S  0.729  0.418  0.532
S  0.816  0.758  0.733
S  0.857  0.734  0.034
S  0.890  0.012  0.206
S  0.946  0.240  0.017
S  0.947  0.584  0.367

Ho4SiGe3: theoretical powder diffractogram (Cu Ka), based on a GGA-PBE-relaxed structure.
No peak broadening, texture or thermal motion is included.

Most intense lines, 10 to 80 degrees two-theta, in order of falling intensity:
- 2.787 Å, I = 100, (1 1 1)
- 2.239 Å, I = 46, (1 1 3)
- 2.728 Å, I = 38, (0 1 3)
- 3.157 Å, I = 31, (1 0 2)
- 2.660 Å, I = 31, (0 0 4)
- 2.134 Å, I = 24, (0 2 0)
- 1.961 Å, I = 19, (2 0 0)
- 1.664 Å, I = 15, (0 2 4)
- 1.592 Å, I = 15, (2 1 3)
- 1.713 Å, I = 15, (1 1 5)

Structural model:
Lattice parameters (Å, degrees): 3.923 4.268 10.638 90.00 90.00 90.00
Positions (direct):
Ho  0.000  0.000  0.000
Ho  0.000  0.500  0.498
Ho  0.500  0.000  0.721
Ho  0.500  0.500  0.222
Si  0.000  0.000  0.277
Ge  0.000  0.500  0.775
Ge  0.500  0.000  0.442
Ge  0.500  0.500  0.945

Ho4Si3Ge: theoretical powder diffractogram (Cu Ka), based on a GGA-PBE-relaxed structure.
No peak broadening, texture or thermal motion is included.

Most intense lines, 10 to 80 degrees two-theta, in order of falling intensity:
- 2.756 Å, I = 100, (1 1 1)
- 3.107 Å, I = 51, (1 0 2)
- 2.706 Å, I = 48, (0 1 3)
- 2.214 Å, I = 36, (1 1 3)
- 2.629 Å, I = 29, (0 0 4)
- 3.946 Å, I = 27, (0 1 1)
- 2.129 Å, I = 23, (0 2 0)
- 1.756 Å, I = 20, (1 2 2)
- 1.694 Å, I = 19, (1 1 5)
- 1.569 Å, I = 19, (2 1 3)

Structural model:
Lattice parameters (Å, degrees): 3.852 4.257 10.516 90.00 90.00 90.00
Positions (direct):
Ho  0.000  0.000  0.000
Ho  0.000  0.500  0.498
Ho  0.500  0.000  0.718
Ho  0.500  0.500  0.219
Si  0.000  0.000  0.281
Si  0.500  0.000  0.437
Si  0.500  0.500  0.939
Ge  0.000  0.500  0.779

HoTiGe: theoretical powder diffractogram (Cu Ka), based on a GGA-PBE-relaxed structure.
No peak broadening, texture or thermal motion is included.

Most intense lines, 10 to 80 degrees two-theta, in order of falling intensity:
- 2.776 Å, I = 100, (1 0 2)
- 2.289 Å, I = 85, (1 1 2)
- 2.860 Å, I = 83, (1 1 0)
- 2.678 Å, I = 71, (1 1 1)
- 2.022 Å, I = 69, (2 0 0)
- 1.429 Å, I = 52, (2 2 0)
- 1.635 Å, I = 41, (2 1 2)
- 2.545 Å, I = 34, (0 0 3)
- 1.583 Å, I = 31, (2 0 3)
- 3.574 Å, I = 29, (1 0 1)

Structural model:
Lattice parameters (Å, degrees): 4.044 4.044 7.636 90.00 90.00 90.00
Positions (direct):
Ho  0.250  0.250  0.157
Ho  0.750  0.750  0.843
Ti  0.250  0.750  0.500
Ti  0.750  0.250  0.500
Ge  0.250  0.250  0.746
Ge  0.750  0.750  0.254